The following is a computed XRD peak list of Cs2US2Cl2. It was derived from a crystal structure in Alexandria, relaxed with GGA-PBE, using Cu Ka.

Largest 10 diffraction maxima, sorted by position, 2θ = 10–80°:
2θ/deg, I/Imax
22.47, 100
23.65, 74
30.23, 54
33.69, 49
38.71, 23
40.88, 44
45.88, 47
48.39, 17
54.54, 15
58.11, 18

Structure:
```
data_Cs2US2Cl2
_chemical_formula_sum 'Cs4 U2 S4 Cl4'
_symmetry_space_group_name_H-M 'I 4/m m m'
_symmetry_Int_Tables_number 139
_symmetry_space_group_name_Hall '-I 4 2'
_cell_length_a 5.3206
_cell_length_b 5.3206
_cell_length_c 17.7586
_cell_angle_alpha 90.00
_cell_angle_beta 90.00
_cell_angle_gamma 90.00
loop_
_atom_site_label
_atom_site_type_symbol
_atom_site_fract_x
_atom_site_fract_y
_atom_site_fract_z
Cs1 Cs 0.0000 0.0000 0.1403
U1 U 0.0000 0.0000 0.5000
S1 S 0.0000 0.5000 0.0000
Cl1 Cl 0.0000 0.0000 0.3445
```